(1)
Na2ZnCl4: calculated XRD peak list (Cu Kα, 1.54184 Å), based on a PBE-relaxed structure.

Peak list (10 most intense, 15 to 90 degrees two-theta, by angle)
2θ = 16.7°, intensity 100; 2θ = 17.5°, intensity 35; 2θ = 26.0°, intensity 65; 2θ = 26.6°, intensity 64; 2θ = 28.9°, intensity 63; 2θ = 29.1°, intensity 39; 2θ = 37.8°, intensity 44; 2θ = 44.5°, intensity 38; 2θ = 44.9°, intensity 66; 2θ = 49.6°, intensity 54

Lattice parameters (Å, degrees): 13.9300 8.1449 6.4709 90.00 90.00 90.00
Atoms (fractional coordinates):
1 Na 0.0000 0.0000 0.0000
2 Na 0.0000 0.5000 0.0000
3 Na 0.2317 0.2500 0.4962
4 Na 0.2683 0.7500 0.9962
5 Na 0.5000 0.0000 0.5000
6 Na 0.5000 0.5000 0.5000
7 Na 0.7317 0.2500 0.0038
8 Na 0.7683 0.7500 0.5038
9 Zn 0.0906 0.7500 0.4136
10 Zn 0.4094 0.2500 0.9136
11 Zn 0.5906 0.7500 0.0864
12 Zn 0.9094 0.2500 0.5864
13 Cl 0.0617 0.2500 0.7310
14 Cl 0.0923 0.7500 0.7643
15 Cl 0.1648 0.5267 0.2617
16 Cl 0.1648 0.9733 0.2617
17 Cl 0.3352 0.0267 0.7617
18 Cl 0.3352 0.4733 0.7617
19 Cl 0.4077 0.2500 0.2643
20 Cl 0.4383 0.7500 0.2310
21 Cl 0.5617 0.2500 0.7690
22 Cl 0.5923 0.7500 0.7357
23 Cl 0.6648 0.5267 0.2383
24 Cl 0.6648 0.9733 0.2383
25 Cl 0.8352 0.0267 0.7383
26 Cl 0.8352 0.4733 0.7383
27 Cl 0.9077 0.2500 0.2357
28 Cl 0.9383 0.7500 0.2690


(2)
NbCl4: calculated XRD peak list (Cu Kα, 1.54184 Å), based on a PBE-relaxed structure.

Peak list (10 most intense, 15 to 90 degrees two-theta, by angle)
2θ = 17.7°, intensity 76; 2θ = 20.3°, intensity 32; 2θ = 31.5°, intensity 100; 2θ = 31.8°, intensity 38; 2θ = 38.8°, intensity 21; 2θ = 39.1°, intensity 39; 2θ = 41.3°, intensity 31; 2θ = 44.8°, intensity 26; 2θ = 48.8°, intensity 26; 2θ = 53.3°, intensity 25

Lattice parameters (Å, degrees): 7.4095 7.4095 8.7388 124.91 124.91 55.47
Atoms (fractional coordinates):
1 Nb 0.2200 0.7800 0.0000
2 Nb 0.7800 0.2200 0.0000
3 Cl 0.1918 0.1918 0.1660
4 Cl 0.2233 0.7344 0.7154
5 Cl 0.2656 0.7767 0.2846
6 Cl 0.3332 0.3332 0.8556
7 Cl 0.6668 0.6668 0.1444
8 Cl 0.7344 0.2233 0.7154
9 Cl 0.7767 0.2656 0.2846
10 Cl 0.8082 0.8082 0.8340


(3)
Nb3Cl7: calculated XRD peak list (Cu Kα, 1.54184 Å), based on a PBE-relaxed structure.

Peak list (10 most intense, 15 to 90 degrees two-theta, by angle)
2θ = 26.0°, intensity 25; 2θ = 31.2°, intensity 16; 2θ = 32.3°, intensity 14; 2θ = 34.4°, intensity 14; 2θ = 36.0°, intensity 18; 2θ = 38.0°, intensity 100; 2θ = 41.0°, intensity 18; 2θ = 42.0°, intensity 23; 2θ = 43.7°, intensity 16; 2θ = 53.6°, intensity 14

Lattice parameters (Å, degrees): 9.5338 9.5338 11.3052 90.00 90.00 88.35
Atoms (fractional coordinates):
1 Nb 0.0518 0.1662 0.8875
2 Nb 0.1287 0.8713 0.9092
3 Nb 0.1662 0.0518 0.1125
4 Nb 0.3338 0.4482 0.6125
5 Nb 0.3713 0.6287 0.4092
6 Nb 0.4482 0.3338 0.3875
7 Nb 0.5518 0.6662 0.6125
8 Nb 0.6287 0.3713 0.5908
9 Nb 0.6662 0.5518 0.3875
10 Nb 0.8338 0.9482 0.8875
11 Nb 0.8713 0.1287 0.0908
12 Nb 0.9482 0.8338 0.1125
13 Cl 0.0308 0.2158 0.2422
14 Cl 0.1015 0.6505 0.0172
15 Cl 0.1174 0.3826 0.7500
16 Cl 0.1354 0.8646 0.2646
17 Cl 0.1505 0.6015 0.5172
18 Cl 0.2158 0.0308 0.7578
19 Cl 0.2477 0.2477 0.5000
20 Cl 0.2523 0.2523 0.0000
21 Cl 0.2842 0.4692 0.2578
22 Cl 0.3495 0.8985 0.0172
23 Cl 0.3646 0.6354 0.7646
24 Cl 0.3826 0.1174 0.2500
25 Cl 0.3985 0.8495 0.5172
26 Cl 0.4692 0.2842 0.7422
27 Cl 0.5308 0.7158 0.2578
28 Cl 0.6015 0.1505 0.4828
29 Cl 0.6174 0.8826 0.7500
30 Cl 0.6354 0.3646 0.2354
31 Cl 0.6505 0.1015 0.9828
32 Cl 0.7158 0.5308 0.7422
33 Cl 0.7477 0.7477 0.0000
34 Cl 0.7523 0.7523 0.5000
35 Cl 0.7842 0.9692 0.2422
36 Cl 0.8495 0.3985 0.4828
37 Cl 0.8646 0.1354 0.7354
38 Cl 0.8826 0.6174 0.2500
39 Cl 0.8985 0.3495 0.9828
40 Cl 0.9692 0.7842 0.7578


(4)
NbCl3O: calculated XRD peak list (Cu Kα, 1.54184 Å), based on a PBE-relaxed structure.

Peak list (10 most intense, 15 to 90 degrees two-theta, by angle)
2θ = 17.2°, intensity 100; 2θ = 23.5°, intensity 81; 2θ = 24.8°, intensity 33; 2θ = 31.1°, intensity 67; 2θ = 39.4°, intensity 21; 2θ = 40.0°, intensity 20; 2θ = 44.6°, intensity 16; 2θ = 45.5°, intensity 36; 2θ = 56.0°, intensity 17; 2θ = 56.1°, intensity 18

Lattice parameters (Å, degrees): 11.5011 11.5011 4.0011 90.00 90.00 90.00
Atoms (fractional coordinates):
1 Nb 0.1230 0.3770 0.1956
2 Nb 0.3770 0.8770 0.8044
3 Nb 0.6230 0.1230 0.8044
4 Nb 0.8770 0.6230 0.1956
5 Cl 0.0984 0.5984 0.2622
6 Cl 0.1004 0.1793 0.2549
7 Cl 0.1793 0.8996 0.7451
8 Cl 0.3207 0.3996 0.2549
9 Cl 0.3996 0.6793 0.7451
10 Cl 0.4016 0.0984 0.7378
11 Cl 0.5984 0.9016 0.7378
12 Cl 0.6004 0.3207 0.7451
13 Cl 0.6793 0.6004 0.2549
14 Cl 0.8207 0.1004 0.7451
15 Cl 0.8996 0.8207 0.2549
16 Cl 0.9016 0.4016 0.2622
17 O 0.1148 0.3852 0.7477
18 O 0.3852 0.8852 0.2523
19 O 0.6148 0.1148 0.2523
20 O 0.8852 0.6148 0.7477


(5)
Nb3Cl5O2: calculated XRD peak list (Cu Kα, 1.54184 Å), based on a PBE-relaxed structure.

Peak list (10 most intense, 15 to 90 degrees two-theta, by angle)
2θ = 17.0°, intensity 29; 2θ = 21.7°, intensity 20; 2θ = 24.8°, intensity 48; 2θ = 28.9°, intensity 18; 2θ = 33.4°, intensity 16; 2θ = 35.8°, intensity 100; 2θ = 36.4°, intensity 29; 2θ = 44.2°, intensity 22; 2θ = 49.0°, intensity 16; 2θ = 58.2°, intensity 26

Lattice parameters (Å, degrees): 8.1930 14.8580 6.7875 90.00 90.00 90.00
Atoms (fractional coordinates):
1 Nb 0.0269 0.1356 0.0000
2 Nb 0.2397 0.2397 0.2110
3 Nb 0.2397 0.2397 0.7890
4 Nb 0.2603 0.7397 0.2890
5 Nb 0.2603 0.7397 0.7110
6 Nb 0.4731 0.6356 0.5000
7 Nb 0.5269 0.3644 0.5000
8 Nb 0.7397 0.2603 0.2890
9 Nb 0.7397 0.2603 0.7110
10 Nb 0.7603 0.7603 0.2110
11 Nb 0.7603 0.7603 0.7890
12 Nb 0.9731 0.8644 0.0000
13 Cl 0.0000 0.0000 0.2370
14 Cl 0.0000 0.0000 0.7630
15 Cl 0.1739 0.6131 0.5000
16 Cl 0.2067 0.3570 0.5000
17 Cl 0.2097 0.3711 0.0000
18 Cl 0.2258 0.6311 0.0000
19 Cl 0.2742 0.1311 0.5000
20 Cl 0.2903 0.8711 0.5000
21 Cl 0.2933 0.8570 0.0000
22 Cl 0.3261 0.1131 0.0000
23 Cl 0.5000 0.5000 0.2630
24 Cl 0.5000 0.5000 0.7370
25 Cl 0.6739 0.8869 0.0000
26 Cl 0.7067 0.1430 0.0000
27 Cl 0.7097 0.1289 0.5000
28 Cl 0.7258 0.8689 0.5000
29 Cl 0.7742 0.3689 0.0000
30 Cl 0.7903 0.6289 0.0000
31 Cl 0.7933 0.6430 0.5000
32 Cl 0.8261 0.3869 0.5000
33 O 0.0092 0.7740 0.2211
34 O 0.0092 0.7740 0.7789
35 O 0.4908 0.2740 0.2789
36 O 0.4908 0.2740 0.7211
37 O 0.5092 0.7260 0.2789
38 O 0.5092 0.7260 0.7211
39 O 0.9908 0.2260 0.2211
40 O 0.9908 0.2260 0.7789


What did the fifth record say?
Nb3Cl5O2: calculated XRD peak list (Cu Kα, 1.54184 Å), based on a PBE-relaxed structure.

Peak list (10 most intense, 15 to 90 degrees two-theta, by angle)
2θ = 17.0°, intensity 29; 2θ = 21.7°, intensity 20; 2θ = 24.8°, intensity 48; 2θ = 28.9°, intensity 18; 2θ = 33.4°, intensity 16; 2θ = 35.8°, intensity 100; 2θ = 36.4°, intensity 29; 2θ = 44.2°, intensity 22; 2θ = 49.0°, intensity 16; 2θ = 58.2°, intensity 26

Lattice parameters (Å, degrees): 8.1930 14.8580 6.7875 90.00 90.00 90.00
Atoms (fractional coordinates):
1 Nb 0.0269 0.1356 0.0000
2 Nb 0.2397 0.2397 0.2110
3 Nb 0.2397 0.2397 0.7890
4 Nb 0.2603 0.7397 0.2890
5 Nb 0.2603 0.7397 0.7110
6 Nb 0.4731 0.6356 0.5000
7 Nb 0.5269 0.3644 0.5000
8 Nb 0.7397 0.2603 0.2890
9 Nb 0.7397 0.2603 0.7110
10 Nb 0.7603 0.7603 0.2110
11 Nb 0.7603 0.7603 0.7890
12 Nb 0.9731 0.8644 0.0000
13 Cl 0.0000 0.0000 0.2370
14 Cl 0.0000 0.0000 0.7630
15 Cl 0.1739 0.6131 0.5000
16 Cl 0.2067 0.3570 0.5000
17 Cl 0.2097 0.3711 0.0000
18 Cl 0.2258 0.6311 0.0000
19 Cl 0.2742 0.1311 0.5000
20 Cl 0.2903 0.8711 0.5000
21 Cl 0.2933 0.8570 0.0000
22 Cl 0.3261 0.1131 0.0000
23 Cl 0.5000 0.5000 0.2630
24 Cl 0.5000 0.5000 0.7370
25 Cl 0.6739 0.8869 0.0000
26 Cl 0.7067 0.1430 0.0000
27 Cl 0.7097 0.1289 0.5000
28 Cl 0.7258 0.8689 0.5000
29 Cl 0.7742 0.3689 0.0000
30 Cl 0.7903 0.6289 0.0000
31 Cl 0.7933 0.6430 0.5000
32 Cl 0.8261 0.3869 0.5000
33 O 0.0092 0.7740 0.2211
34 O 0.0092 0.7740 0.7789
35 O 0.4908 0.2740 0.2789
36 O 0.4908 0.2740 0.7211
37 O 0.5092 0.7260 0.2789
38 O 0.5092 0.7260 0.7211
39 O 0.9908 0.2260 0.2211
40 O 0.9908 0.2260 0.7789


What did the second record say?
NbCl4: calculated XRD peak list (Cu Kα, 1.54184 Å), based on a PBE-relaxed structure.

Peak list (10 most intense, 15 to 90 degrees two-theta, by angle)
2θ = 17.7°, intensity 76; 2θ = 20.3°, intensity 32; 2θ = 31.5°, intensity 100; 2θ = 31.8°, intensity 38; 2θ = 38.8°, intensity 21; 2θ = 39.1°, intensity 39; 2θ = 41.3°, intensity 31; 2θ = 44.8°, intensity 26; 2θ = 48.8°, intensity 26; 2θ = 53.3°, intensity 25

Lattice parameters (Å, degrees): 7.4095 7.4095 8.7388 124.91 124.91 55.47
Atoms (fractional coordinates):
1 Nb 0.2200 0.7800 0.0000
2 Nb 0.7800 0.2200 0.0000
3 Cl 0.1918 0.1918 0.1660
4 Cl 0.2233 0.7344 0.7154
5 Cl 0.2656 0.7767 0.2846
6 Cl 0.3332 0.3332 0.8556
7 Cl 0.6668 0.6668 0.1444
8 Cl 0.7344 0.2233 0.7154
9 Cl 0.7767 0.2656 0.2846
10 Cl 0.8082 0.8082 0.8340